No. 1
This entry pairs a crystal structure of Ce2Ga3Ge2 with its simulated X-ray diffraction stick pattern. Radiation: Cu Kα (λ = 1.5418 Å). Structure: DFT lattice parameters and positions (PBE).
Peak positions follow from Bragg's law for the DFT cell and can differ from measured ones.

Top 6 peaks for 5 to 70 degrees two-theta, sorted by position:
32.00 deg, d = 2.797 Å, I = 44; 32.94 deg, d = 2.719 Å, I = 44; 35.57 deg, d = 2.524 Å, I = 82; 38.36 deg, d = 2.347 Å, I = 100; 39.57 deg, d = 2.278 Å, I = 40; 67.46 deg, d = 1.388 Å, I = 30

Crystal structure
Cell: 9.854 9.854 3.443 Å, 90.00 90.00 153.27°
Element x y z (fractional)
Ce 0.141 0.859 0.000
Ce 0.859 0.141 0.000
Ga 0.000 0.000 0.500
Ga 0.282 0.718 0.500
Ga 0.718 0.282 0.500
Ge 0.417 0.583 0.500
Ge 0.583 0.417 0.500


No. 2
This entry pairs a crystal structure of Ce7Ga3Ge with its simulated X-ray diffraction stick pattern. Radiation: Cu Kα (λ = 1.5418 Å). Structure: DFT lattice parameters and positions (PBE).
Peak positions follow from Bragg's law for the DFT cell and can differ from measured ones.

Top 6 peaks for 5 to 70 degrees two-theta, sorted by position:
24.41 deg, d = 3.646 Å, I = 41; 31.51 deg, d = 2.839 Å, I = 100; 31.98 deg, d = 2.799 Å, I = 94; 37.44 deg, d = 2.402 Å, I = 75; 37.51 deg, d = 2.398 Å, I = 74; 45.51 deg, d = 1.993 Å, I = 70

Crystal structure
Cell: 7.724 7.724 5.679 Å, 111.48 111.48 92.89°
Element x y z (fractional)
Ce 0.000 0.000 0.000
Ce 0.099 0.586 0.343
Ce 0.336 0.336 0.836
Ce 0.414 0.901 0.657
Ce 0.586 0.099 0.343
Ce 0.664 0.664 0.164
Ce 0.901 0.414 0.657
Ga 0.264 0.736 0.000
Ga 0.500 0.500 0.500
Ga 0.736 0.264 0.000
Ge 0.000 0.000 0.500


No. 3
This entry pairs a crystal structure of Ce2GaGeIr6 with its simulated X-ray diffraction stick pattern. Radiation: Cu Kα (λ = 1.5418 Å). Structure: DFT lattice parameters and positions (PBE).
Peak positions follow from Bragg's law for the DFT cell and can differ from measured ones.

Top 6 peaks for 5 to 70 degrees two-theta, sorted by position:
20.39 deg, d = 4.356 Å, I = 95; 36.25 deg, d = 2.478 Å, I = 78; 37.27 deg, d = 2.413 Å, I = 52; 38.71 deg, d = 2.326 Å, I = 72; 40.59 deg, d = 2.223 Å, I = 100; 41.46 deg, d = 2.178 Å, I = 64

Crystal structure
Cell: 5.502 6.366 6.395 Å, 72.49 64.62 64.51°
Element x y z (fractional)
Ce 0.013 0.240 0.235
Ce 0.987 0.760 0.765
Ga 0.500 0.500 0.000
Ge 0.500 0.000 0.500
Ir 0.001 0.195 0.802
Ir 0.303 0.451 0.449
Ir 0.498 0.805 0.198
Ir 0.502 0.195 0.802
Ir 0.697 0.549 0.551
Ir 0.999 0.805 0.198


No. 4
This entry pairs a crystal structure of LaCe2GaGe2 with its simulated X-ray diffraction stick pattern. Radiation: Cu Kα (λ = 1.5418 Å). Structure: DFT lattice parameters and positions (PBE).
Peak positions follow from Bragg's law for the DFT cell and can differ from measured ones.

Top 6 peaks for 5 to 70 degrees two-theta, sorted by position:
20.36 deg, d = 4.363 Å, I = 35; 25.40 deg, d = 3.507 Å, I = 24; 30.53 deg, d = 2.928 Å, I = 100; 41.07 deg, d = 2.198 Å, I = 41; 42.57 deg, d = 2.124 Å, I = 51; 59.73 deg, d = 1.548 Å, I = 26

Crystal structure
Cell: 9.263 9.263 9.263 Å, 152.55 152.55 39.21°
Element x y z (fractional)
La 0.000 0.000 0.000
Ce 0.250 0.750 0.500
Ce 0.750 0.250 0.500
Ga 0.500 0.500 0.000
Ge 0.367 0.367 0.000
Ge 0.633 0.633 0.000


No. 5
This entry pairs a crystal structure of Ce4GaGeN with its simulated X-ray diffraction stick pattern. Radiation: Cu Kα (λ = 1.5418 Å). Structure: DFT lattice parameters and positions (PBE).
Peak positions follow from Bragg's law for the DFT cell and can differ from measured ones.

Top 6 peaks for 5 to 70 degrees two-theta, sorted by position:
29.04 deg, d = 3.075 Å, I = 100; 35.13 deg, d = 2.555 Å, I = 33; 35.55 deg, d = 2.525 Å, I = 95; 37.90 deg, d = 2.374 Å, I = 70; 52.63 deg, d = 1.739 Å, I = 40; 66.94 deg, d = 1.398 Å, I = 30

Crystal structure
Cell: 8.368 8.368 6.708 Å, 90.00 90.00 132.66°
Element x y z (fractional)
Ce 0.000 0.500 0.000
Ce 0.000 0.500 0.500
Ce 0.082 0.918 0.750
Ce 0.418 0.582 0.750
Ce 0.500 0.000 0.000
Ce 0.500 0.000 0.500
Ce 0.582 0.418 0.250
Ce 0.918 0.082 0.250
Ga 0.116 0.884 0.250
Ga 0.884 0.116 0.750
Ge 0.385 0.615 0.250
Ge 0.615 0.385 0.750
N 0.249 0.751 0.750
N 0.751 0.249 0.250